Record 1
The following is a simulated X-ray diffraction stick pattern of K4MgV2O7. It was derived from a structure optimized by DFT (PBE+U), using Cu Kα X-rays.

Crystal structure
```
data_K4MgV2O7
_chemical_formula_sum 'K8 Mg2 V4 O14'
_cell_length_a 10.8909
_cell_length_b 6.5624
_cell_length_c 8.0559
_cell_angle_alpha 90.00
_cell_angle_beta 94.32
_cell_angle_gamma 90.00
_space_group_name_H-M_alt 'C 1 2/m 1'
_space_group_IT_number 12
loop_
_space_group_symop_operation_xyz
'x,y,z'
'-x,-y,-z'
'-x,y,-z'
'x,-y,z'
'x+1/2,y+1/2,z'
'-x+1/2,-y+1/2,-z'
'-x+1/2,y+1/2,-z'
'x+1/2,-y+1/2,z'
loop_
_atom_site_label
_atom_site_type_symbol
_atom_site_fract_x
_atom_site_fract_y
_atom_site_fract_z
_atom_site_occupancy
K1 K 0.0000 0.0000 0.0000 1
K2 K 0.0000 0.0000 0.5000 1
K3 K 0.2383 0.5000 0.2239 1
Mg1 Mg 0.0000 0.5000 0.5000 1
V1 V 0.1115 0.5000 0.8316 1
O1 O 0.0000 0.5000 0.0000 1
O2 O 0.0688 0.2982 0.6777 1
O3 O 0.2326 0.0000 0.1054 1
```

Top 6 peaks for 10° ≤ 2θ ≤ 90°, in order of falling intensity:
2θ/deg, I/Imax
27.2, 100
19.0, 98
39.9, 79
29.6, 65
26.8, 60
28.6, 38

Record 2
The following is a simulated X-ray diffraction stick pattern of K4MgV2O7. It was derived from a structure optimized by DFT (PBE+U), using Cu Kα X-rays.

Crystal structure
```
data_K4MgV2O7
_chemical_formula_sum 'K8 Mg2 V4 O14'
_cell_length_a 12.2353
_cell_length_b 6.0757
_cell_length_c 7.3018
_cell_angle_alpha 90.00
_cell_angle_beta 104.56
_cell_angle_gamma 90.00
_space_group_name_H-M_alt 'C 1 m 1'
_space_group_IT_number 8
loop_
_space_group_symop_operation_xyz
'x,y,z'
'x,-y,z'
'x+1/2,y+1/2,z'
'x+1/2,-y+1/2,z'
loop_
_atom_site_label
_atom_site_type_symbol
_atom_site_fract_x
_atom_site_fract_y
_atom_site_fract_z
_atom_site_occupancy
K1 K 0.0000 0.0000 0.0000 1
K2 K 0.0836 0.5000 0.4402 1
K3 K 0.2663 0.0000 0.2480 1
K4 K 0.3789 0.0000 0.7808 1
Mg1 Mg 0.1181 0.0000 0.6498 1
V1 V 0.1786 0.5000 0.9466 1
V2 V 0.4093 0.5000 0.3851 1
O1 O 0.0655 0.0000 0.3762 1
O2 O 0.0688 0.5000 0.0623 1
O3 O 0.1749 0.2519 0.8003 1
O4 O 0.3183 0.5000 0.1314 1
O5 O 0.3980 0.2563 0.5064 1
```

Top 6 peaks for 10° ≤ 2θ ≤ 90°, in order of falling intensity:
2θ/deg, I/Imax
29.4, 100
32.2, 99
28.5, 67
29.6, 62
19.5, 52
39.6, 51

Record 3
The following is a simulated X-ray diffraction stick pattern of K4MgV4O10. It was derived from a structure optimized by DFT (PBE+U), using Cu Kα X-rays.

Crystal structure
```
data_K4MgV4O10
_chemical_formula_sum 'K8 Mg2 V8 O20'
_cell_length_a 8.7938
_cell_length_b 14.5736
_cell_length_c 6.2273
_cell_angle_alpha 90.00
_cell_angle_beta 132.54
_cell_angle_gamma 90.00
_space_group_name_H-M_alt 'C 1 m 1'
_space_group_IT_number 8
loop_
_space_group_symop_operation_xyz
'x,y,z'
'x,-y,z'
'x+1/2,y+1/2,z'
'x+1/2,-y+1/2,z'
loop_
_atom_site_label
_atom_site_type_symbol
_atom_site_fract_x
_atom_site_fract_y
_atom_site_fract_z
_atom_site_occupancy
K1 K 0.0000 0.1287 0.0000 1
K2 K 0.0145 0.3473 0.9541 1
Mg1 Mg 0.2731 0.5000 0.3660 1
V1 V 0.0070 0.2475 0.5137 1
V2 V 0.1599 0.0000 0.6387 1
V3 V 0.4698 0.0000 0.3864 1
O1 O 0.0418 0.3811 0.5018 1
O2 O 0.2210 0.2341 0.8867 1
O3 O 0.2218 0.0000 0.9861 1
O4 O 0.2778 0.2480 0.4447 1
O5 O 0.3226 0.0000 0.5734 1
O6 O 0.4642 0.4032 0.4269 1
```

Top 6 peaks for 10° ≤ 2θ ≤ 90°, in order of falling intensity:
2θ/deg, I/Imax
31.4, 100
28.7, 86
31.9, 84
27.5, 51
41.1, 47
39.3, 46

Record 4
The following is a simulated X-ray diffraction stick pattern of KMgV5O22. It was derived from a structure optimized by DFT (PBE+U), using Cu Kα X-rays.

Crystal structure
```
data_KMgV5O22
_chemical_formula_sum 'K2 Mg2 V10 O44'
_cell_length_a 10.5626
_cell_length_b 10.6880
_cell_length_c 10.8929
_cell_angle_alpha 72.86
_cell_angle_beta 64.59
_cell_angle_gamma 66.48
_space_group_name_H-M_alt 'P -1'
_space_group_IT_number 2
loop_
_space_group_symop_operation_xyz
'x,y,z'
'-x,-y,-z'
loop_
_atom_site_label
_atom_site_type_symbol
_atom_site_fract_x
_atom_site_fract_y
_atom_site_fract_z
_atom_site_occupancy
K1 K 0.2061 0.2194 0.0770 1
Mg1 Mg 0.0349 0.8016 0.3094 1
V1 V 0.1818 0.9133 0.7281 1
V2 V 0.2217 0.1904 0.7522 1
V3 V 0.2426 0.1538 0.4586 1
V4 V 0.4587 0.8984 0.7789 1
V5 V 0.4792 0.8575 0.4886 1
O1 O 0.0500 0.8434 0.8014 1
O2 O 0.0902 0.5138 0.2468 1
O3 O 0.0971 0.0786 0.8082 1
O4 O 0.1247 0.0407 0.5759 1
O5 O 0.1255 0.3090 0.8522 1
O6 O 0.1471 0.2655 0.5972 1
O7 O 0.1580 0.2353 0.3487 1
O8 O 0.1734 0.4939 0.1291 1
O9 O 0.1808 0.8769 0.3470 1
O10 O 0.2123 0.8682 0.1352 1
O11 O 0.2361 0.6172 0.3348 1
O12 O 0.2514 0.9077 0.2149 1
O13 O 0.3075 0.8311 0.8256 1
O14 O 0.3308 0.7974 0.5850 1
O15 O 0.3381 0.0618 0.8485 1
O16 O 0.3563 0.5795 0.2230 1
O17 O 0.3712 0.0223 0.5995 1
O18 O 0.3904 0.2528 0.6287 1
O19 O 0.3975 0.9979 0.3595 1
O20 O 0.4211 0.2124 0.3793 1
O21 O 0.4569 0.1899 0.1119 1
O22 O 0.4723 0.4975 0.2447 1
```

Top 6 peaks for 10° ≤ 2θ ≤ 90°, in order of falling intensity:
2θ/deg, I/Imax
10.8, 100
11.1, 40
27.6, 27
21.7, 26
18.2, 24
10.7, 22

Record 5
The following is a simulated X-ray diffraction stick pattern of K4MgV2O7. It was derived from a structure optimized by DFT (PBE+U), using Cu Kα X-rays.

Crystal structure
```
data_K4MgV2O7
_chemical_formula_sum 'K4 Mg1 V2 O7'
_cell_length_a 5.8446
_cell_length_b 6.3487
_cell_length_c 7.6144
_cell_angle_alpha 90.94
_cell_angle_beta 103.89
_cell_angle_gamma 110.16
_space_group_name_H-M_alt 'P 1'
_space_group_IT_number 1
loop_
_space_group_symop_operation_xyz
'x,y,z'
loop_
_atom_site_label
_atom_site_type_symbol
_atom_site_fract_x
_atom_site_fract_y
_atom_site_fract_z
_atom_site_occupancy
K1 K 0.0000 0.0000 0.0000 1
K2 K 0.0506 0.9522 0.5607 1
K3 K 0.3099 0.5908 0.8910 1
K4 K 0.5753 0.0802 0.3274 1
Mg1 Mg 0.8836 0.5243 0.2025 1
V1 V 0.3420 0.4926 0.3931 1
V2 V 0.6379 0.2817 0.7971 1
O1 O 0.0354 0.2807 0.2680 1
O2 O 0.2202 0.7259 0.3630 1
O3 O 0.4219 0.3749 0.6073 1
O4 O 0.4536 0.0900 0.9222 1
O5 O 0.6075 0.5648 0.2925 1
O6 O 0.8221 0.5585 0.9432 1
O7 O 0.8350 0.1872 0.7038 1
```

Top 6 peaks for 10° ≤ 2θ ≤ 90°, in order of falling intensity:
2θ/deg, I/Imax
26.3, 100
31.7, 97
28.0, 66
33.1, 63
27.1, 49
24.2, 47

Record 6
The following is a simulated X-ray diffraction stick pattern of K3YMgV2O8. It was derived from a structure optimized by DFT (PBE+U), using Cu Kα X-rays.

Crystal structure
```
data_K3YMgV2O8
_chemical_formula_sum 'K6 Y2 Mg2 V4 O16'
_cell_length_a 10.6231
_cell_length_b 6.1922
_cell_length_c 8.4239
_cell_angle_alpha 90.00
_cell_angle_beta 95.24
_cell_angle_gamma 90.00
_space_group_name_H-M_alt 'C 1 2 1'
_space_group_IT_number 5
loop_
_space_group_symop_operation_xyz
'x,y,z'
'-x,y,-z'
'x+1/2,y+1/2,z'
'-x+1/2,y+1/2,-z'
loop_
_atom_site_label
_atom_site_type_symbol
_atom_site_fract_x
_atom_site_fract_y
_atom_site_fract_z
_atom_site_occupancy
K1 K 0.0000 0.0000 0.0000 1
K2 K 0.1974 0.5013 0.2411 1
Y1 Y 0.0000 0.0015 0.5000 1
Mg1 Mg 0.0000 0.5015 0.5000 1
V1 V 0.2009 0.5015 0.7433 1
O1 O 0.1049 0.2823 0.6248 1
O2 O 0.1049 0.7206 0.6247 1
O3 O 0.1366 0.0014 0.2979 1
O4 O 0.1717 0.5020 0.9402 1
```

Top 6 peaks for 10° ≤ 2θ ≤ 90°, in order of falling intensity:
2θ/deg, I/Imax
25.9, 100
29.1, 93
28.8, 81
10.5, 76
40.9, 71
28.3, 46